Starting from a cell relaxed with GGA+U, the powder diffraction line list of CaVFeP4O14 was calculated for CuKα.
Intensities are scaled so that the largest is 1000.

Structure:
Cell lengths 4.992, 7.052, 8.381 Å; angles 88.95, 89.85, 74.02 degrees
Element x y z (fractional)
Ca  0.000  0.000  0.000
V  0.476  0.887  0.612
Fe  0.893  0.450  0.130
P  0.063  0.649  0.796
P  0.311  0.657  0.311
P  0.440  0.268  0.886
P  0.932  0.053  0.387
O  0.106  0.878  0.265
O  0.126  0.076  0.520
O  0.136  0.513  0.289
O  0.232  0.243  0.016
O  0.232  0.804  0.786
O  0.272  0.435  0.762
O  0.404  0.666  0.480
O  0.539  0.638  0.184
O  0.551  0.076  0.796
O  0.679  0.990  0.442
O  0.690  0.325  0.954
O  0.828  0.681  0.677
O  0.850  0.220  0.261
O  0.966  0.656  0.972

Largest 8 diffraction maxima, by intensity, 2θ from 10° to 80°:
16.97 deg, I = 1000
21.34 deg, I = 962
29.11 deg, I = 846
16.67 deg, I = 699
22.32 deg, I = 589
27.79 deg, I = 556
28.82 deg, I = 453
29.59 deg, I = 417

Starting from a cell relaxed with GGA+U, the powder diffraction line list of CaVFeP4O14 was calculated for CuKα.
Intensities are scaled so that the largest is 1000.

Structure:
Cell lengths 4.995, 7.069, 8.369 Å; angles 89.99, 89.77, 73.94 degrees
Element x y z (fractional)
Ca  0.000  0.000  0.000
V  0.094  0.552  0.121
Fe  0.515  0.111  0.605
P  0.062  0.946  0.384
P  0.559  0.729  0.876
P  0.677  0.343  0.306
P  0.929  0.345  0.790
O  0.026  0.337  0.966
O  0.141  0.786  0.256
O  0.163  0.314  0.670
O  0.311  0.674  0.950
O  0.314  0.006  0.440
O  0.444  0.360  0.184
O  0.446  0.922  0.785
O  0.588  0.331  0.478
O  0.722  0.561  0.755
O  0.760  0.191  0.783
O  0.769  0.754  0.004
O  0.845  0.492  0.282
O  0.864  0.923  0.515
O  0.888  0.127  0.261

Largest 8 diffraction maxima, by intensity, 2θ from 10° to 80°:
16.81 deg, I = 1000
28.95 deg, I = 736
22.19 deg, I = 575
27.69 deg, I = 499
24.99 deg, I = 353
21.38 deg, I = 345
29.70 deg, I = 309
21.30 deg, I = 252

Starting from a cell relaxed with GGA+U, the powder diffraction line list of CaVFeP4O14 was calculated for CuKα.
Intensities are scaled so that the largest is 1000.

Structure:
Cell lengths 4.961, 7.081, 8.703 Å; angles 84.81, 86.07, 74.84 degrees
Element x y z (fractional)
Ca  0.000  0.000  0.000
V  0.861  0.279  0.390
Fe  0.472  0.656  0.844
P  0.016  0.494  0.071
P  0.256  0.487  0.561
P  0.436  0.123  0.175
P  0.929  0.875  0.630
O  0.016  0.388  0.547
O  0.106  0.915  0.755
O  0.126  0.720  0.518
O  0.153  0.663  0.029
O  0.240  0.113  0.316
O  0.264  0.294  0.053
O  0.357  0.457  0.722
O  0.482  0.430  0.431
O  0.503  0.951  0.073
O  0.686  0.798  0.695
O  0.714  0.167  0.208
O  0.798  0.476  0.964
O  0.828  0.060  0.518
O  0.920  0.487  0.244

Largest 8 diffraction maxima, by intensity, 2θ from 10° to 80°:
17.15 deg, I = 1000
27.21 deg, I = 690
15.93 deg, I = 567
27.38 deg, I = 493
28.85 deg, I = 294
23.13 deg, I = 248
28.45 deg, I = 199
29.96 deg, I = 169

Starting from a cell relaxed with GGA+U, the powder diffraction line list of CaVFeP4O14 was calculated for CuKα.
Intensities are scaled so that the largest is 1000.

Structure:
Cell lengths 4.919, 7.196, 8.138 Å; angles 89.27, 89.04, 73.37 degrees
Element x y z (fractional)
Ca  0.000  0.000  0.000
V  0.570  0.476  0.074
Fe  0.007  0.006  0.562
P  0.029  0.620  0.833
P  0.181  0.249  0.272
P  0.410  0.234  0.763
P  0.563  0.854  0.334
O  0.071  0.234  0.445
O  0.196  0.653  0.986
O  0.199  0.111  0.772
O  0.236  0.457  0.722
O  0.361  0.028  0.214
O  0.374  0.380  0.258
O  0.385  0.842  0.486
O  0.545  0.234  0.934
O  0.629  0.176  0.627
O  0.632  0.684  0.218
O  0.768  0.558  0.880
O  0.830  0.917  0.366
O  0.950  0.286  0.140
O  0.952  0.813  0.739

Largest 8 diffraction maxima, by intensity, 2θ from 10° to 80°:
29.74 deg, I = 1000
29.19 deg, I = 952
16.92 deg, I = 760
28.00 deg, I = 734
16.79 deg, I = 718
22.59 deg, I = 675
12.84 deg, I = 554
25.77 deg, I = 553

Starting from a cell relaxed with GGA+U, the powder diffraction line list of CaPr3Fe4O12 was calculated for CuKα.
Intensities are scaled so that the largest is 1000.

Structure:
Cell lengths 5.507, 7.842, 5.614 Å; angles 90.00, 90.02, 90.00 degrees
Element x y z (fractional)
Ca  0.000  0.000  0.000
Pr  0.022  0.500  0.907
Pr  0.501  0.500  0.407
Pr  0.522  0.000  0.502
Fe  0.011  0.246  0.453
Fe  0.011  0.754  0.453
Fe  0.512  0.246  0.955
Fe  0.512  0.754  0.955
O  0.094  0.000  0.424
O  0.225  0.299  0.167
O  0.225  0.701  0.167
O  0.300  0.294  0.664
O  0.300  0.706  0.664
O  0.423  0.000  0.933
O  0.593  0.500  0.970
O  0.715  0.211  0.250
O  0.715  0.789  0.250
O  0.801  0.204  0.746
O  0.801  0.796  0.746
O  0.931  0.500  0.475

Largest 8 diffraction maxima, by intensity, 2θ from 10° to 80°:
32.24 deg, I = 1000
46.19 deg, I = 260
32.52 deg, I = 243
57.85 deg, I = 225
31.88 deg, I = 223
46.31 deg, I = 156
25.34 deg, I = 138
67.47 deg, I = 133

Starting from a cell relaxed with GGA+U, the powder diffraction line list of CaFeReO6 was calculated for CuKα.
Intensities are scaled so that the largest is 1000.

Structure:
Cell lengths 5.358, 5.490, 9.344 Å; angles 90.00, 124.95, 90.00 degrees
Element x y z (fractional)
Ca  0.000  0.195  0.000
Ca  0.000  0.805  0.500
Fe  0.254  0.256  0.749
Fe  0.254  0.744  0.249
Re  0.759  0.260  0.249
Re  0.759  0.740  0.749
O  0.003  0.449  0.205
O  0.003  0.551  0.705
O  0.063  0.239  0.489
O  0.063  0.761  0.989
O  0.438  0.267  0.006
O  0.438  0.733  0.506
O  0.516  0.041  0.277
O  0.516  0.959  0.777
O  0.606  0.462  0.789
O  0.606  0.538  0.289
O  0.940  0.019  0.715
O  0.940  0.981  0.215

Largest 8 diffraction maxima, by intensity, 2θ from 10° to 80°:
23.21 deg, I = 1000
33.06 deg, I = 637
19.90 deg, I = 329
47.44 deg, I = 325
20.23 deg, I = 320
53.47 deg, I = 277
32.62 deg, I = 163
33.45 deg, I = 153

Starting from a cell relaxed with GGA+U, the powder diffraction line list of Ca3Fe2Rh2O12 was calculated for CuKα.
Intensities are scaled so that the largest is 1000.

Structure:
Cell lengths 6.398, 6.398, 6.398 Å; angles 92.38, 92.38, 92.38 degrees
Element x y z (fractional)
Ca  0.000  0.372  0.628
Ca  0.372  0.628  0.000
Ca  0.628  0.000  0.372
Fe  0.000  0.000  0.000
Fe  0.500  0.500  0.500
Rh  0.245  0.245  0.245
Rh  0.755  0.755  0.755
O  0.046  0.713  0.845
O  0.155  0.287  0.954
O  0.232  0.543  0.345
O  0.287  0.954  0.155
O  0.345  0.232  0.543
O  0.457  0.768  0.655
O  0.543  0.345  0.232
O  0.655  0.457  0.768
O  0.713  0.845  0.046
O  0.768  0.655  0.457
O  0.845  0.046  0.713
O  0.954  0.155  0.287

Largest 8 diffraction maxima, by intensity, 2θ from 10° to 80°:
19.22 deg, I = 1000
33.62 deg, I = 293
45.49 deg, I = 278
40.82 deg, I = 162
53.88 deg, I = 133
61.44 deg, I = 132
52.43 deg, I = 109
20.08 deg, I = 99

Starting from a cell relaxed with GGA+U, the powder diffraction line list of Sr4CaFe2S2O6 was calculated for CuKα.
Intensities are scaled so that the largest is 1000.

Structure:
Cell lengths 3.963, 3.963, 16.754 Å; angles 90.00, 90.00, 90.00 degrees
Element x y z (fractional)
Sr  0.000  0.500  0.083
Sr  0.000  0.500  0.296
Sr  0.500  0.000  0.704
Sr  0.500  0.000  0.917
Ca  0.000  0.000  0.500
Fe  0.000  0.500  0.821
Fe  0.500  0.000  0.179
S  0.000  0.500  0.612
S  0.500  0.000  0.388
O  0.000  0.000  0.199
O  0.000  0.000  0.801
O  0.000  0.500  0.936
O  0.500  0.000  0.064
O  0.500  0.500  0.199
O  0.500  0.500  0.801

Largest 8 diffraction maxima, by intensity, 2θ from 10° to 80°:
31.06 deg, I = 1000
31.93 deg, I = 554
45.80 deg, I = 460
56.36 deg, I = 359
39.48 deg, I = 265
10.56 deg, I = 216
54.74 deg, I = 140
35.07 deg, I = 133